(1)
Structure and calculated powder XRD pattern of PrNd5Hg3 (a structure optimized by DFT (PBE); a wavelength of 1.5418 Å).
Neutral-atom scattering factors, no anomalous dispersion.

The 10 most intense peaks (2θ = 10–80°), in order of rising 2θ:
- (0 0 2), d 3.562, I = 11
- (1 1 2), d 2.839, I = 95
- (3 0 0), d 2.714, I = 100
- (3 0 2), d 2.159, I = 18
- (2 2 2), d 1.962, I = 33
- (4 1 2), d 1.590, I = 34
- (3 3 0), d 1.567, I = 19
- (3 0 4), d 1.489, I = 32
- (6 0 0), d 1.357, I = 12
- (5 2 2), d 1.224, I = 14

Structural model:
a b c (Å): 9.4026 9.4026 7.1247
angles (deg): 90.00 90.00 120.00
Space group P6_3/mcm (No. 193)
Symmetry-distinct sites (fractional):
Pr1 0.0000 0.0000 0.0000
Nd1 0.0000 0.3324 0.2500
Nd2 0.3333 0.6667 0.0000
Hg1 0.0000 0.3352 0.7500

***

(2)
Structure and calculated powder XRD pattern of K2MnNb6Cl18 (a structure optimized by DFT (PBE); a wavelength of 1.5418 Å).
Neutral-atom scattering factors, no anomalous dispersion.

The 10 most intense peaks (2θ = 10–80°), in order of rising 2θ:
- (0 0 3), d 8.529, I = 39
- (1 0 1), d 7.732, I = 81
- (0 1 2), d 6.850, I = 100
- (1 1 3), d 4.105, I = 19
- (3 -2 5), d 2.630, I = 88
- (2 1 7), d 2.349, I = 22
- (0 1 11), d 2.237, I = 17
- (3 -2 8), d 2.214, I = 49
- (1 4 0), d 1.770, I = 30
- (2 1 13), d 1.656, I = 23

Structural model:
a b c (Å): 9.3655 9.3655 25.5876
angles (deg): 90.00 90.00 120.00
Space group R-3 (No. 148, hexagonal axes)
Symmetry-distinct sites (fractional):
K1 0.0000 0.0000 0.2224
Mn1 0.0000 0.0000 0.5000
Nb1 0.0448 0.2000 0.0469
Cl1 0.0217 0.2375 0.4417
Cl2 0.0493 0.2491 0.6675
Cl3 0.0520 0.2345 0.8893